Sr2LiZrCrO6: theoretical powder diffraction line list (CuKα), based on a cell relaxed with GGA+U.
No peak broadening, texture or thermal motion is included.

Cell and atoms:
abc: 6.110 6.110 6.110
angles: 55.47 55.47 55.47
Element x y z (fractional)
Sr  0.000  0.000  0.000
Sr  0.468  0.468  0.468
Li  0.836  0.836  0.836
Zr  0.210  0.210  0.210
Cr  0.691  0.691  0.691
O  0.453  0.945  0.945
O  0.455  0.455  0.936
O  0.455  0.936  0.455
O  0.936  0.455  0.455
O  0.945  0.453  0.945
O  0.945  0.945  0.453

Largest 10 diffraction maxima, low angle first, 2θ from 5° to 70°:
| 2θ (°) | I (rel.) |
| --- | --- |
| 21.39 | 145 |
| 29.38 | 849 |
| 31.46 | 1000 |
| 34.25 | 197 |
| 43.58 | 595 |
| 47.63 | 234 |
| 54.74 | 299 |
| 56.02 | 199 |
| 63.26 | 117 |
| 65.68 | 222 |